This entry pairs a crystal structure of CdInGa2 with its simulated X-ray powder pattern. Radiation: a wavelength of 1.5418 Å. Structure: a cell relaxed with PBE.

Structural model:
```
12
Lattice="4.397 0.000 0.000 -2.198 3.808 0.000 0.000 0.000 17.178" Properties=species:S:1:pos:R:3 pbc="T T T"
Cd 0.000 0.000 0.000
Cd 0.000 2.538 11.452
Cd 2.198 1.269 5.726
In 0.000 0.000 14.077
In 0.000 2.538 8.351
In 2.198 1.269 2.626
Ga 0.000 0.000 7.042
Ga 0.000 0.000 9.998
Ga 0.000 2.538 1.316
Ga 0.000 2.538 4.272
Ga 2.198 1.269 12.767
Ga 2.198 1.269 15.724
```

Top 6 peaks for 15 to 90 degrees two-theta, most intense first:
two_theta  intensity
35.2  1000
41.1  774
25.6  394
43.9  299
23.9  272
55.2  264

This entry pairs a crystal structure of ZnAgPt with its simulated X-ray powder pattern. Radiation: a wavelength of 1.5418 Å. Structure: a cell relaxed with PBE.

Structural model:
```
6
Lattice="2.871 0.000 0.000 0.000 3.689 0.000 0.000 0.000 9.039" Properties=species:S:1:pos:R:3 pbc="T T T"
Zn 0.000 0.000 0.000
Zn 1.435 1.845 4.520
Ag 0.000 0.000 6.111
Ag 1.435 1.845 1.592
Pt 0.000 0.000 3.276
Pt 1.435 1.845 7.795
```

Top 6 peaks for 15 to 90 degrees two-theta, most intense first:
two_theta  intensity
38.6  1000
39.8  966
43.5  708
67.9  368
26.1  259
49.4  257

This entry pairs a crystal structure of CaNd12Ho5 with its simulated X-ray powder pattern. Radiation: a wavelength of 1.5418 Å. Structure: a cell relaxed with PBE.

Structural model:
```
18
Lattice="10.930 0.000 0.000 0.000 5.172 0.000 -0.092 0.000 10.942" Properties=species:S:1:pos:R:3 pbc="T T T"
Ca 0.000 0.000 0.000
Nd -0.031 0.000 7.258
Nd 1.802 2.586 5.487
Nd 1.851 2.586 1.869
Nd 3.620 0.000 3.654
Nd 3.589 0.000 10.911
Nd 5.372 2.586 9.092
Nd 5.467 2.586 1.850
Nd 7.250 0.000 0.030
Nd 7.218 0.000 7.288
Nd 8.988 2.586 9.073
Nd 9.036 2.586 5.454
Nd 10.869 0.000 3.684
Ho 1.814 2.586 9.050
Ho 3.591 0.000 7.286
Ho 5.419 2.586 5.471
Ho 7.248 0.000 3.655
Ho 9.024 2.586 1.892
```

Top 6 peaks for 15 to 90 degrees two-theta, most intense first:
two_theta  intensity
30.0  1000
34.7  340
59.3  287
50.1  240
35.0  166
59.6  141

This entry pairs a crystal structure of MnAl2Ga with its simulated X-ray powder pattern. Radiation: a wavelength of 1.5418 Å. Structure: a cell relaxed with PBE.

Structural model:
```
4
Lattice="3.922 0.000 0.000 0.000 3.922 0.000 0.000 0.000 3.804" Properties=species:S:1:pos:R:3 pbc="T T T"
Mn 0.000 0.000 0.000
Al 0.000 1.961 1.902
Al 1.961 0.000 1.902
Ga 1.961 1.961 0.000
```

Top 6 peaks for 15 to 90 degrees two-theta, most intense first:
two_theta  intensity
40.2  1000
46.3  329
81.7  231
68.8  191
23.4  175
32.3  157

This entry pairs a crystal structure of ThPaSe3 with its simulated X-ray powder pattern. Radiation: a wavelength of 1.5418 Å. Structure: a cell relaxed with PBE.

Structural model:
```
20
Lattice="7.766 0.000 0.000 0.000 4.096 0.000 0.000 0.000 16.032" Properties=species:S:1:pos:R:3 pbc="T T T"
Th 0.749 1.024 3.254
Th 3.134 3.072 11.270
Th 4.632 1.024 4.762
Th 7.017 3.072 12.778
Pa 1.804 3.072 7.368
Pa 2.079 1.024 15.384
Pa 5.687 3.072 0.648
Pa 5.962 1.024 8.663
Se 0.019 3.072 9.735
Se 0.920 3.072 1.085
Se 1.391 1.024 12.489
Se 2.492 3.072 4.473
Se 2.963 1.024 9.101
Se 3.864 1.024 1.719
Se 3.902 3.072 14.313
Se 4.803 3.072 6.931
Se 5.274 1.024 11.558
Se 6.375 3.072 3.543
Se 6.846 1.024 14.946
Se 7.747 1.024 6.297
```

Top 6 peaks for 15 to 90 degrees two-theta, most intense first:
two_theta  intensity
33.7  1000
25.2  921
37.5  539
32.3  537
44.2  522
35.6  510

This entry pairs a crystal structure of Be5Os3 with its simulated X-ray powder pattern. Radiation: a wavelength of 1.5418 Å. Structure: a cell relaxed with PBE.

Structural model:
```
16
Lattice="4.406 0.000 0.000 -2.067 5.677 0.000 -2.101 -1.128 6.558" Properties=species:S:1:pos:R:3 pbc="T T T"
Be -1.009 1.309 2.511
Be -1.885 3.719 2.551
Be 0.205 -0.185 1.739
Be -0.626 2.945 0.957
Be -1.180 0.624 6.144
Be 1.418 3.924 0.414
Be 0.863 1.604 5.602
Be 0.033 4.733 4.819
Be 2.123 0.830 4.008
Be 1.247 3.240 4.048
Os -2.976 3.791 6.255
Os -0.008 -0.185 4.200
Os -0.940 2.650 4.418
Os 1.177 1.899 2.141
Os 0.246 4.734 2.358
Os 3.213 0.758 0.304
```

Top 6 peaks for 15 to 90 degrees two-theta, most intense first:
two_theta  intensity
33.5  1000
30.4  933
29.1  750
32.6  555
43.8  478
41.3  439